Diffraction record for Hg2Mo5O16. The X-ray diffraction stick pattern is computed, not measured: it uses a DFT-relaxed cell (GGA+U, Alexandria) and a wavelength of 1.5418 Å.

Structure:
```
data_Hg2Mo5O16
_chemical_formula_sum 'Hg4 Mo10 O32'
_symmetry_space_group_name_H-M 'P 1 2/c 1'
_symmetry_Int_Tables_number 13
_cell_length_a 9.4313
_cell_length_b 5.6161
_cell_length_c 14.5190
_cell_angle_alpha 90.00
_cell_angle_beta 109.04
_cell_angle_gamma 90.00
loop_
_symmetry_equiv_pos_as_xyz
'x,y,z'
'-x,-y,-z'
'-x,y,-z+1/2'
'x,-y,z+1/2'
loop_
_atom_site_label
_atom_site_fract_x
_atom_site_fract_y
_atom_site_fract_z
_atom_site_occupancy
Hg1 0.0902 0.2383 0.1986 1
Mo1 0.2689 0.2159 0.5707 1
Mo2 0.3719 0.3250 0.9128 1
Mo3 0.5000 0.1310 0.2500 1
O1 0.1001 0.1622 0.4789 1
O2 0.1958 0.3550 0.8275 1
O3 0.2210 0.4487 0.6340 1
O4 0.2896 0.0458 0.1665 1
O5 0.3474 0.0964 0.9881 1
O6 0.3805 0.3997 0.5005 1
O7 0.4386 0.3253 0.3235 1
O8 0.4883 0.1726 0.8446 1
```

Peak list (8 most intense, 10° ≤ 2θ ≤ 90°, most intense first)
- d = 3.547 Å, I = 100, (0 1 3)
- d = 4.748 Å, I = 81, (1 0 2)
- d = 2.730 Å, I = 63, (3 0 -4)
- d = 3.618 Å, I = 51, (2 1 -1)
- d = 4.268 Å, I = 47, (1 1 1)
- d = 3.281 Å, I = 46, (2 0 2)
- d = 3.196 Å, I = 38, (2 1 -3)
- d = 5.198 Å, I = 34, (0 1 1)